[1]
This entry pairs a crystal structure of SrMgGa2Ag with its theoretical XRD peak list. Radiation: Cu Kα (weighted mean of Kα1 and Kα2). Structure: a GGA-PBE-relaxed structure.
Intensities are scaled so that the largest is 100.

Structure:
```
data_SrMgGa2Ag
_chemical_formula_sum 'Sr2 Mg2 Ga4 Ag2'
_cell_length_a 4.362
_cell_length_b 4.474
_cell_length_c 11.828
_cell_angle_alpha 90.00
_cell_angle_beta 90.00
_cell_angle_gamma 90.00
_space_group_name_H-M_alt 'I m m 2'
_space_group_IT_number 44
loop_
_space_group_symop_operation_xyz
'x,y,z'
'-x,-y,z'
'-x,y,z'
'x,-y,z'
'x+1/2,y+1/2,z+1/2'
'-x+1/2,-y+1/2,z+1/2'
'-x+1/2,y+1/2,z+1/2'
'x+1/2,-y+1/2,z+1/2'
loop_
_atom_site_label
_atom_site_fract_x
_atom_site_fract_y
_atom_site_fract_z
Sr1 0.000 0.000 0.000
Mg1 0.000 0.500 0.745
Ga1 0.000 0.000 0.610
Ga2 0.000 0.500 0.245
Ag1 0.000 0.000 0.386
```

Top 10 peaks for 2θ from 10° to 90°, in order of rising 2θ:
| hkl | 2θ (°) | I (rel.) |
| --- | --- | --- |
| 1 1 0 | 28.58 | 43 |
| 0 1 3 | 30.21 | 52 |
| 1 0 3 | 30.56 | 39 |
| 1 1 2 | 32.42 | 100 |
| 0 2 0 | 40.32 | 39 |
| 2 0 0 | 41.40 | 36 |
| 1 1 4 | 42.08 | 34 |
| 0 1 5 | 43.26 | 31 |
| 1 0 5 | 43.52 | 32 |
| 2 2 0 | 59.16 | 24 |



[2]
This entry pairs a crystal structure of BaBP with its theoretical XRD peak list. Radiation: Cu Kα (weighted mean of Kα1 and Kα2). Structure: a GGA-PBE-relaxed structure.
Intensities are scaled so that the largest is 100.

Structure:
```
data_BaBP
_chemical_formula_sum 'Ba4 B4 P4'
_cell_length_a 4.346
_cell_length_b 4.909
_cell_length_c 13.592
_cell_angle_alpha 90.00
_cell_angle_beta 90.00
_cell_angle_gamma 90.00
_space_group_name_H-M_alt 'I m m m'
_space_group_IT_number 71
_space_group_name_Hall '-I 2 2'
loop_
_atom_site_label
_atom_site_fract_x
_atom_site_fract_y
_atom_site_fract_z
Ba1 0.000 0.000 0.141
B1 0.187 0.500 0.000
P1 0.000 0.000 0.392
```

Top 10 peaks for 2θ from 10° to 90°, in order of rising 2θ:
| hkl | 2θ (°) | I (rel.) |
| --- | --- | --- |
| 0 1 1 | 19.22 | 20 |
| 1 0 1 | 21.47 | 27 |
| 0 0 4 | 26.23 | 44 |
| 0 1 3 | 26.78 | 51 |
| 1 1 0 | 27.41 | 100 |
| 1 0 3 | 28.46 | 35 |
| 0 2 0 | 36.61 | 26 |
| 1 1 4 | 38.30 | 74 |
| 0 2 4 | 45.59 | 19 |
| 3 1 0 | 67.42 | 19 |



[3]
This entry pairs a crystal structure of Th4H2Se5 with its theoretical XRD peak list. Radiation: Cu Kα (weighted mean of Kα1 and Kα2). Structure: a GGA-PBE-relaxed structure.
Intensities are scaled so that the largest is 100.

Structure:
```
data_Th4H2Se5
_chemical_formula_sum 'Th8 H4 Se10'
_cell_length_a 18.760
_cell_length_b 4.116
_cell_length_c 7.730
_cell_angle_alpha 90.00
_cell_angle_beta 112.07
_cell_angle_gamma 90.00
_space_group_name_H-M_alt 'C 1 2/m 1'
_space_group_IT_number 12
loop_
_space_group_symop_operation_xyz
'x,y,z'
'-x,-y,-z'
'-x,y,-z'
'x,-y,z'
'x+1/2,y+1/2,z'
'-x+1/2,-y+1/2,-z'
'-x+1/2,y+1/2,-z'
'x+1/2,-y+1/2,z'
loop_
_atom_site_label
_atom_site_fract_x
_atom_site_fract_y
_atom_site_fract_z
Th1 0.005 0.000 0.235
Th2 0.188 0.500 0.193
H1 0.056 0.500 0.161
Se1 0.000 0.500 0.500
Se2 0.166 0.000 0.898
Se3 0.170 0.000 0.447
```

Top 10 peaks for 2θ from 10° to 90°, in order of rising 2θ:
| hkl | 2θ (°) | I (rel.) |
| --- | --- | --- |
| 2 0 1 | 18.78 | 40 |
| 1 1 1 | 26.42 | 44 |
| 3 1 0 | 26.56 | 41 |
| 3 1 -1 | 26.77 | 47 |
| 6 0 0 | 30.86 | 91 |
| 1 1 -2 | 32.05 | 79 |
| 3 1 -2 | 32.35 | 100 |
| 3 1 2 | 40.64 | 83 |
| 7 1 -2 | 41.85 | 66 |
| 0 2 0 | 44.00 | 44 |



[4]
This entry pairs a crystal structure of MgTl8In2 with its theoretical XRD peak list. Radiation: Cu Kα (weighted mean of Kα1 and Kα2). Structure: a GGA-PBE-relaxed structure.
Intensities are scaled so that the largest is 100.

Structure:
```
data_MgTl8In2
_chemical_formula_sum 'Mg2 Tl16 In4'
_cell_length_a 12.846
_cell_length_b 10.086
_cell_length_c 5.662
_cell_angle_alpha 90.00
_cell_angle_beta 104.35
_cell_angle_gamma 90.00
_space_group_name_H-M_alt 'C 1 2/m 1'
_space_group_IT_number 12
loop_
_space_group_symop_operation_xyz
'x,y,z'
'-x,-y,-z'
'-x,y,-z'
'x,-y,z'
'x+1/2,y+1/2,z'
'-x+1/2,-y+1/2,-z'
'-x+1/2,y+1/2,-z'
'x+1/2,-y+1/2,z'
loop_
_atom_site_label
_atom_site_fract_x
_atom_site_fract_y
_atom_site_fract_z
Mg1 0.000 0.000 0.000
Tl1 0.079 0.262 0.802
Tl2 0.103 0.500 0.318
Tl3 0.249 0.000 0.102
In1 0.127 0.000 0.529
```

Top 10 peaks for 2θ from 10° to 90°, in order of rising 2θ:
| hkl | 2θ (°) | I (rel.) |
| --- | --- | --- |
| 2 0 -1 | 18.73 | 20 |
| 2 2 0 | 22.70 | 49 |
| 2 2 1 | 30.03 | 98 |
| 3 1 1 | 31.37 | 20 |
| 2 0 -2 | 32.24 | 26 |
| 1 1 -2 | 32.87 | 46 |
| 4 2 -1 | 34.36 | 100 |
| 0 4 0 | 35.62 | 68 |
| 3 3 1 | 40.51 | 24 |
| 8 2 0 | 62.45 | 20 |



[5]
This entry pairs a crystal structure of YTm2In4 with its theoretical XRD peak list. Radiation: Cu Kα (weighted mean of Kα1 and Kα2). Structure: a GGA-PBE-relaxed structure.
Intensities are scaled so that the largest is 100.

Structure:
```
data_YTm2In4
_chemical_formula_sum 'Y2 Tm4 In8'
_cell_length_a 7.419
_cell_length_b 7.419
_cell_length_c 7.249
_cell_angle_alpha 90.00
_cell_angle_beta 90.00
_cell_angle_gamma 90.00
_space_group_name_H-M_alt 'I 4/m m m'
_space_group_IT_number 139
_space_group_name_Hall '-I 4 2'
loop_
_atom_site_label
_atom_site_fract_x
_atom_site_fract_y
_atom_site_fract_z
Y1 0.000 0.000 0.000
Tm1 0.000 0.500 0.000
In1 0.250 0.250 0.250
```

Top 10 peaks for 2θ from 10° to 90°, in order of rising 2θ:
| hkl | 2θ (°) | I (rel.) |
| --- | --- | --- |
| 1 1 0 | 16.90 | 21 |
| 1 1 2 | 29.96 | 11 |
| 2 2 0 | 34.18 | 52 |
| 2 0 2 | 34.60 | 100 |
| 4 0 0 | 49.12 | 18 |
| 0 0 4 | 50.35 | 9 |
| 4 2 2 | 61.47 | 37 |
| 2 2 4 | 62.27 | 18 |
| 4 0 4 | 72.99 | 11 |
| 6 2 0 | 82.17 | 8 |